(1)
Diffraction record for Ga4Te7I. The powder X-ray diffraction pattern is theoretical, not measured: it uses a DFT-relaxed cell (GGA-PBE, Alexandria) and Cu Ka.
Peak positions follow from Bragg's law for the DFT cell and can differ from measured ones.

Peak list (10 most intense, 2θ from 15° to 90°, low angle first)
(2 0 0), d = 3.834 Å, rel. 82; (1 0 4), d = 3.757 Å, rel. 51; (0 2 0), d = 3.503 Å, rel. 100; (2 1 0), d = 3.355 Å, rel. 65; (1 1 4), d = 3.311 Å, rel. 85; (2 1 -2), d = 3.151 Å, rel. 37; (1 1 -5), d = 2.903 Å, rel. 32; (3 0 -4), d = 2.219 Å, rel. 32; (1 3 -4), d = 1.993 Å, rel. 45; (1 3 4), d = 1.984 Å, rel. 43

```
Ga4Te7I
1.0
7.662 0.000 0.000
0.000 7.006 0.000
-0.296 0.000 17.415
Ga Te I
8 14 2
Direct
0.161 0.000 0.388
0.182 0.017 0.128
0.326 0.520 0.496
0.327 0.547 0.020
0.673 0.047 0.980
0.674 0.020 0.504
0.818 0.517 0.872
0.839 0.500 0.612
0.109 0.713 0.916
0.144 0.680 0.605
0.153 0.628 0.370
0.221 0.655 0.155
0.258 0.201 0.262
0.336 0.164 0.000
0.338 0.135 0.513
0.662 0.635 0.487
0.664 0.664 0.000
0.742 0.701 0.738
0.779 0.155 0.845
0.847 0.128 0.630
0.856 0.180 0.395
0.891 0.213 0.084
0.377 0.683 0.801
0.623 0.183 0.199
```

(2)
Diffraction record for NaMgInHg2. The powder X-ray diffraction pattern is theoretical, not measured: it uses a DFT-relaxed cell (GGA-PBE, Alexandria) and Cu Ka.
Peak positions follow from Bragg's law for the DFT cell and can differ from measured ones.

Peak list (10 most intense, 2θ from 15° to 90°, low angle first)
(1 0 0), d = 4.432 Å, rel. 83; (1 0 1), d = 3.522 Å, rel. 63; (1 1 0), d = 2.559 Å, rel. 100; (0 1 2), d = 2.427 Å, rel. 98; (1 1 2), d = 1.919 Å, rel. 24; (2 0 2), d = 1.761 Å, rel. 37; (3 0 0), d = 1.477 Å, rel. 18; (1 2 2), d = 1.451 Å, rel. 40; (1 0 4), d = 1.378 Å, rel. 19; (2 1 4), d = 1.096 Å, rel. 20

```
NaMgInHg2
1.0
5.118 0.000 0.000
-2.559 4.432 0.000
0.000 0.000 5.800
Na Mg In Hg
1 1 1 2
Direct
0.000 0.000 0.000
0.333 0.667 0.645
0.667 0.333 0.313
0.333 0.667 0.158
0.667 0.333 0.804
```

(3)
Diffraction record for Mg2AlZn. The powder X-ray diffraction pattern is theoretical, not measured: it uses a DFT-relaxed cell (GGA-PBE, Alexandria) and Cu Ka.
Peak positions follow from Bragg's law for the DFT cell and can differ from measured ones.

Peak list (10 most intense, 2θ from 15° to 90°, low angle first)
(1 0 0), d = 4.255 Å, rel. 18; (0 0 1), d = 4.151 Å, rel. 10; (1 0 1), d = 2.971 Å, rel. 15; (1 1 1), d = 2.436 Å, rel. 100; (2 0 0), d = 2.128 Å, rel. 33; (0 0 2), d = 2.075 Å, rel. 15; (2 2 0), d = 1.504 Å, rel. 10; (2 0 2), d = 1.486 Å, rel. 20; (3 1 1), d = 1.280 Å, rel. 24; (1 1 3), d = 1.257 Å, rel. 11

```
Mg2AlZn
1.0
4.255 0.000 0.000
0.000 4.255 0.000
0.000 0.000 4.151
Mg Al Zn
2 1 1
Direct
0.000 0.500 0.000
0.500 0.000 0.000
0.000 0.000 0.500
0.500 0.500 0.500
```

(4)
Diffraction record for V2CoRh5. The powder X-ray diffraction pattern is theoretical, not measured: it uses a DFT-relaxed cell (GGA-PBE, Alexandria) and Cu Ka.
Peak positions follow from Bragg's law for the DFT cell and can differ from measured ones.

Peak list (10 most intense, 2θ from 15° to 90°, low angle first)
(1 2 0), d = 3.768 Å, rel. 7; (1 2 1), d = 2.666 Å, rel. 6; (0 4 1), d = 2.176 Å, rel. 100; (0 0 2), d = 1.887 Å, rel. 16; (2 4 0), d = 1.883 Å, rel. 31; (2 4 2), d = 1.333 Å, rel. 24; (0 8 0), d = 1.330 Å, rel. 5; (0 4 3), d = 1.138 Å, rel. 12; (4 4 1), d = 1.137 Å, rel. 11; (2 8 1), d = 1.135 Å, rel. 11

```
V2CoRh5
1.0
5.333 0.000 0.000
0.000 10.640 0.000
0.000 0.000 3.774
V Co Rh
4 2 10
Direct
0.247 0.121 0.000
0.253 0.621 0.000
0.747 0.379 0.000
0.753 0.879 0.000
0.000 0.000 0.500
0.500 0.500 0.500
0.000 0.500 0.500
0.014 0.246 0.500
0.235 0.880 0.000
0.265 0.380 0.000
0.486 0.746 0.500
0.500 0.000 0.500
0.514 0.254 0.500
0.735 0.620 0.000
0.765 0.120 0.000
0.986 0.754 0.500
```